For HoGeAu, DFT lattice parameters and positions (PBE) gives the simulated powder diffraction line list in this record (a wavelength of 1.5418 Å).
No peak broadening, texture or thermal motion is included.

Cell and atoms:
```
24
Lattice="4.451 0.000 0.000 0.000 14.263 0.000 0.000 0.000 7.806" Properties=species:S:1:pos:R:3 pbc="T T T"
Ho 1.113 0.032 1.711
Ho 1.113 3.566 2.271
Ho 1.113 7.099 1.711
Ho 1.113 10.697 2.245
Ho 3.338 3.566 5.561
Ho 3.338 7.163 6.094
Ho 3.338 10.697 5.535
Ho 3.338 14.231 6.094
Ge 1.113 2.090 7.093
Ge 1.113 5.042 7.093
Ge 1.113 8.744 4.623
Ge 1.113 12.651 4.623
Ge 3.338 1.612 3.182
Ge 3.338 5.519 3.182
Ge 3.338 9.221 0.712
Ge 3.338 12.173 0.712
Au 1.113 1.417 4.556
Au 1.113 5.715 4.556
Au 1.113 9.135 7.205
Au 1.113 12.259 7.205
Au 3.338 2.004 0.600
Au 3.338 5.128 0.600
Au 3.338 8.548 3.250
Au 3.338 12.846 3.250
```

Most intense lines, 2θ = 10–90°, sorted by position:
d = 3.732 Å, I 16.4
d = 2.714 Å, I 22.7
d = 2.632 Å, I 46.3
d = 2.621 Å, I 100.0
d = 2.274 Å, I 15.9
d = 2.246 Å, I 67.0
d = 2.225 Å, I 38.8
d = 1.700 Å, I 25.2